[1]
# Bi2Te4Pb
Theoretical X-ray diffraction stick pattern, Cu Kα, 1.54184 Å. Input: a DFT-relaxed cell (PBE, the Materials Project).
Intensities are scaled so that the largest is 100.

Main lines, most intense first (2θ from 5° to 70°):
d [Å], 2theta, I (rel.)
3.289, 27.11, 100
2.401, 37.46, 39
2.257, 39.94, 37
1.861, 48.94, 20
1.436, 64.94, 17
1.509, 61.47, 16
1.644, 55.91, 12
2.028, 44.69, 7
4.732, 18.75, 6
1.417, 65.90, 5
3.845, 23.13, 5
2.037, 44.47, 4

```
Bi2Te4Pb
1.0
2.257 1.303 14.196
-2.257 1.303 14.196
0.000 -2.606 14.196
Bi Te Pb
2 4 1
direct
0.072 0.072 0.072
0.928 0.928 0.928
0.213 0.213 0.213
0.366 0.366 0.366
0.634 0.634 0.634
0.787 0.787 0.787
0.500 0.500 0.500
```



[2]
# CeSi2Ni2
Theoretical X-ray diffraction stick pattern, Cu Kα, 1.54184 Å. Input: a DFT-relaxed cell (PBE, the Materials Project).
Intensities are scaled so that the largest is 100.

Main lines, most intense first (2θ from 5° to 70°):
d [Å], 2theta, I (rel.)
2.448, 36.71, 100
2.499, 35.94, 48
2.016, 44.96, 41
3.715, 23.95, 40
1.569, 58.85, 23
1.390, 67.37, 17
1.727, 53.04, 15
2.388, 37.67, 15
1.541, 60.06, 14
1.426, 65.47, 13
1.772, 51.58, 11
2.851, 31.37, 5

```
CeSi2Ni2
1.0
-2.016 2.016 4.776
2.016 -2.016 4.776
2.016 2.016 -4.776
Ce Si Ni
1 2 2
direct
0.000 0.000 0.000
0.373 0.373 0.000
0.627 0.627 0.000
0.250 0.750 0.500
0.750 0.250 0.500
```